Entry 1:
This entry pairs a crystal structure of Na3Pr2ErSe6 with its theoretical powder diffractogram. Radiation: copper Kα. Structure: a DFT-relaxed cell (PBE, Alexandria).
Lines closer than 0.1° are merged.

Atomic structure:
```
Na3Pr2ErSe6
1.0
3.6804 -6.3754 0.0000
3.6804 6.3754 0.0000
-2.4595 0.0000 7.0166
Na Pr Er Se
3 2 1 6
Cartesian
0.0000 0.0000 0.0000 Na
3.6804 2.1333 0.0000 Na
3.6804 -2.1333 0.0000 Na
2.4507 4.2522 3.5083 Pr
2.4507 -4.2522 3.5083 Pr
2.4507 0.0000 3.5083 Er
1.2676 2.0522 1.8624 Se
0.0835 0.0000 5.1443 Se
1.2676 -2.0522 1.8624 Se
3.6337 2.0522 5.1542 Se
4.8178 0.0000 1.8723 Se
3.6337 -2.0522 5.1542 Se
```

Most intense lines, 10° ≤ 2θ ≤ 90°, low angle first:
d = 7.017 Å, 2θ = 12.62°, rel. 44
d = 3.626 Å, 2θ = 24.55°, rel. 21
d = 3.016 Å, 2θ = 29.62°, rel. 100
d = 2.141 Å, 2θ = 42.22°, rel. 37
d = 2.125 Å, 2θ = 42.54°, rel. 37
d = 1.737 Å, 2θ = 52.69°, rel. 19

Entry 2:
This entry pairs a crystal structure of DySc6In3 with its theoretical powder diffractogram. Radiation: copper Kα. Structure: a DFT-relaxed cell (PBE, Alexandria).
Lines closer than 0.1° are merged.

Atomic structure:
```
DySc6In3
1.0
5.3022 -5.9826 0.0000
5.3022 5.9826 0.0000
0.0000 0.0000 8.1497
Dy Sc In
2 12 6
Cartesian
5.3022 3.7510 4.0748 Dy
5.3022 -3.7510 0.0000 Dy
2.7662 2.0995 5.6537 Sc
1.7959 0.8338 2.7894 Sc
1.7959 -0.8338 6.8642 Sc
5.3022 2.7878 7.4752 Sc
2.7662 -2.0995 1.5788 Sc
5.3022 0.3429 2.5295 Sc
5.3022 -0.3429 6.6043 Sc
7.8382 2.0995 5.6537 Sc
5.3022 -2.7878 3.4004 Sc
8.8085 0.8338 2.7894 Sc
8.8085 -0.8338 6.8642 Sc
7.8382 -2.0995 1.5788 Sc
5.3022 5.0666 1.1774 In
3.2462 1.0689 0.3467 In
3.2462 -1.0689 4.4216 In
7.3583 1.0689 0.3467 In
7.3583 -1.0689 4.4216 In
5.3022 -5.0666 5.2522 In
```

Most intense lines, 10° ≤ 2θ ≤ 90°, low angle first:
d = 4.823 Å, 2θ = 18.40°, rel. 54
d = 3.393 Å, 2θ = 26.27°, rel. 85
d = 2.843 Å, 2θ = 31.47°, rel. 63
d = 2.606 Å, 2θ = 34.41°, rel. 97
d = 2.482 Å, 2θ = 36.20°, rel. 100
d = 2.474 Å, 2θ = 36.32°, rel. 67